# 1
Structure and calculated X-ray powder pattern of LaPr3Pb2 (DFT lattice parameters and positions (PBE); Cu Kα, 1.54184 Å).
Intensities are scaled so that the largest is 100.

Cell and atoms:
```
6
Lattice="4.7342 0.0000 0.0000 0.0000 4.7342 0.0000 0.0000 0.0000 9.0661" Properties=species:S:1:pos:R:3 pbc="T T T"
La 0.0000 0.0000 0.0000
Pr 0.0000 2.3671 3.1819
Pr 2.3671 0.0000 5.8842
Pr 2.3671 2.3671 0.0000
Pb 0.0000 2.3671 6.4957
Pb 2.3671 0.0000 2.5704
```

Main lines, sorted by position (2θ = 10–90°):
28.42°, I 78.8
29.56°, I 39.0
33.27°, I 100.0
38.01°, I 60.8
48.87°, I 39.2
65.68°, I 28.6

***

# 2
Structure and calculated X-ray powder pattern of Nd2NiSn6 (DFT lattice parameters and positions (PBE); Cu Kα, 1.54184 Å).
Intensities are scaled so that the largest is 100.

Cell and atoms:
```
9
Lattice="4.4716 0.0000 0.0000 0.0000 2.2339 11.7814 0.0000 -2.2339 11.7814" Properties=species:S:1:pos:R:3 pbc="T T T"
Nd 0.0000 0.0000 0.0000
Nd 0.0000 0.0000 7.9976
Ni 2.2358 0.0000 18.4098
Sn 0.0000 0.0000 14.2361
Sn 0.0000 0.0000 17.1386
Sn 2.2358 0.0000 2.4490
Sn 2.2358 0.0000 5.3609
Sn 2.2358 0.0000 11.0006
Sn 2.2358 0.0000 20.8902
```

Main lines, sorted by position (2θ = 10–90°):
30.33°, I 39.6
30.49°, I 100.0
34.16°, I 40.9
40.36°, I 59.8
51.31°, I 31.5
67.31°, I 21.2

***

# 3
Structure and calculated X-ray powder pattern of La4ErTh3 (DFT lattice parameters and positions (PBE); Cu Kα, 1.54184 Å).
Intensities are scaled so that the largest is 100.

Cell and atoms:
```
16
Lattice="5.0975 0.0000 0.0000 0.0000 10.2329 0.0000 0.0000 0.0000 10.4491" Properties=species:S:1:pos:R:3 pbc="T T T"
La 1.2744 0.0016 1.4559
La 1.2744 2.5582 8.9605
La 1.2744 5.1148 1.4559
La 1.2744 7.6747 9.0453
La 3.8231 10.2313 8.9932
La 3.8231 2.5582 1.4038
La 3.8231 5.1181 8.9932
La 3.8231 7.6747 1.4886
Er 1.2744 2.5582 4.0400
Er 3.8231 7.6747 6.4091
Th 1.2744 0.0198 6.4292
Th 1.2744 5.0967 6.4292
Th 1.2744 7.6747 4.0016
Th 3.8231 2.5582 6.4475
Th 3.8231 5.1363 4.0199
Th 3.8231 10.2131 4.0199
```

Main lines, sorted by position (2θ = 10–90°):
30.08°, I 100.0
34.33°, I 16.6
35.08°, I 17.1
35.21°, I 16.9
59.86°, I 14.5
60.04°, I 14.4

***

# 4
Structure and calculated X-ray powder pattern of CrPd6Au2 (DFT lattice parameters and positions (PBE); Cu Kα, 1.54184 Å).
Intensities are scaled so that the largest is 100.

Cell and atoms:
```
18
Lattice="4.9239 -5.5339 0.0000 4.9239 5.5339 0.0000 -0.5326 0.0000 5.3784" Properties=species:S:1:pos:R:3 pbc="T T T"
Cr 4.5244 4.4566 4.0338
Cr 4.7907 -4.4566 1.3446
Pd 2.1659 2.1089 1.4930
Pd 0.9200 0.9864 4.3646
Pd 1.1863 -0.9864 1.6754
Pd 4.8217 2.3666 0.0105
Pd 4.7597 2.3666 2.6787
Pd 1.8996 -2.1089 4.1822
Pd 7.4155 2.1089 1.1962
Pd 4.5554 -2.3666 2.6997
Pd 4.4935 -2.3666 5.3679
Pd 8.1289 0.9864 3.7030
Pd 8.3952 -0.9864 1.0138
Pd 7.1493 -2.1089 3.8854
Au 3.2880 0.1493 3.2901
Au 3.5543 -0.1493 0.6009
Au 5.7608 0.1493 4.7775
Au 6.0271 -0.1493 2.0883
```

Main lines, sorted by position (2θ = 10–90°):
36.47°, I 62.1
36.75°, I 45.7
39.79°, I 60.5
40.08°, I 85.7
40.26°, I 85.3
41.84°, I 100.0

***

# 5
Structure and calculated X-ray powder pattern of Hf2Ti8Pb3 (DFT lattice parameters and positions (PBE); Cu Kα, 1.54184 Å).
Intensities are scaled so that the largest is 100.

Cell and atoms:
```
13
Lattice="2.7400 1.5820 10.2405 -2.7400 1.5820 10.2405 0.0000 -3.1639 10.2405" Properties=species:S:1:pos:R:3 pbc="T T T"
Hf 0.0000 0.0000 4.2688
Hf 0.0000 0.0000 26.4526
Ti 0.0000 0.0000 6.8884
Ti 0.0000 -1.6235 12.1384
Ti -1.4060 0.8118 12.1384
Ti -1.4060 -0.8118 18.5830
Ti 1.4060 0.8118 12.1385
Ti 1.4060 -0.8118 18.5830
Ti 0.0000 1.6235 18.5830
Ti 0.0000 0.0000 23.8330
Pb 0.0000 0.0000 9.6456
Pb 0.0000 0.0000 15.3607
Pb 0.0000 0.0000 21.0758
```

Main lines, sorted by position (2θ = 10–90°):
23.69°, I 77.1
32.68°, I 100.0
37.22°, I 74.0
37.36°, I 95.6
40.76°, I 38.2
61.40°, I 62.6

***

# 6
Structure and calculated X-ray powder pattern of MoIrAu (DFT lattice parameters and positions (PBE); Cu Kα, 1.54184 Å).
Intensities are scaled so that the largest is 100.

Cell and atoms:
```
6
Lattice="2.8458 0.0000 0.0000 0.0000 3.9172 0.0000 0.0000 0.0000 8.5256" Properties=species:S:1:pos:R:3 pbc="T T T"
Mo 0.0000 0.0000 0.0000
Mo 1.4229 1.9586 4.2628
Ir 0.0000 0.0000 3.0021
Ir 1.4229 1.9586 7.2648
Au 0.0000 0.0000 5.7572
Au 1.4229 1.9586 1.4944
```

Main lines, sorted by position (2θ = 10–90°):
39.14°, I 100.0
45.09°, I 33.2
46.36°, I 15.6
66.66°, I 20.8
79.18°, I 25.4
81.03°, I 12.5